No. 1
Calculated powder diffractogram
Compound: Ba3ScRh2O9
Radiation: a wavelength of 1.5418 Å
Structure: a crystal structure in Alexandria, relaxed with PBE

Crystal structure
```
data_Ba3ScRh2O9
_chemical_formula_sum 'Ba3 Sc1 Rh2 O9'
_symmetry_space_group_name_H-M 'P -3 m 1'
_symmetry_Int_Tables_number 164
_symmetry_space_group_name_Hall '-P 3 2"'
_cell_length_a 5.7942
_cell_length_b 5.7942
_cell_length_c 7.1004
_cell_angle_alpha 90.00
_cell_angle_beta 90.00
_cell_angle_gamma 120.00
loop_
_atom_site_label
_atom_site_fract_x
_atom_site_fract_y
_atom_site_fract_z
Ba1 0.0000 0.0000 0.0000
Ba2 0.3333 0.6667 0.6704
Sc1 0.0000 0.0000 0.5000
Rh1 0.3333 0.6667 0.1666
O1 0.0000 0.5000 0.0000
O2 0.1715 0.3430 0.3282
```

Largest 10 diffraction maxima, low angle first, 5 to 70 degrees two-theta:
- 2θ = 12.47°, 7.100 Å, I = 2
- 2θ = 17.68°, 5.018 Å, I = 2
- 2θ = 21.69°, 4.098 Å, I = 3
- 2θ = 30.86°, 2.898 Å, I = 100
- 2θ = 38.03°, 2.366 Å, I = 9
- 2θ = 44.20°, 2.049 Å, I = 32
- 2θ = 49.75°, 1.833 Å, I = 2
- 2θ = 54.88°, 1.673 Å, I = 39
- 2θ = 64.30°, 1.449 Å, I = 19
- 2θ = 68.72°, 1.366 Å, I = 1



No. 2
Calculated powder diffractogram
Compound: Ba3Tl2RhO6
Radiation: a wavelength of 1.5418 Å
Structure: a crystal structure in Alexandria, relaxed with PBE

Crystal structure
```
data_Ba3Tl2RhO6
_chemical_formula_sum 'Ba3 Tl2 Rh1 O6'
_symmetry_space_group_name_H-M 'P -3 m 1'
_symmetry_Int_Tables_number 164
_symmetry_space_group_name_Hall '-P 3 2"'
_cell_length_a 6.0657
_cell_length_b 6.0657
_cell_length_c 7.0352
_cell_angle_alpha 90.00
_cell_angle_beta 90.00
_cell_angle_gamma 120.00
loop_
_atom_site_label
_atom_site_fract_x
_atom_site_fract_y
_atom_site_fract_z
Ba1 0.0000 0.0000 0.0000
Ba2 0.3333 0.6667 0.6146
Tl1 0.3333 0.6667 0.1237
Rh1 0.0000 0.0000 0.5000
O1 0.1576 0.3152 0.3254
```

Largest 10 diffraction maxima, low angle first, 5 to 70 degrees two-theta:
- 2θ = 29.45°, 3.033 Å, I = 100
- 2θ = 30.59°, 2.923 Å, I = 83
- 2θ = 39.22°, 2.297 Å, I = 11
- 2θ = 42.98°, 2.105 Å, I = 44
- 2θ = 52.24°, 1.751 Å, I = 21
- 2θ = 52.96°, 1.729 Å, I = 36
- 2θ = 55.06°, 1.668 Å, I = 15
- 2θ = 61.11°, 1.516 Å, I = 17
- 2θ = 63.68°, 1.461 Å, I = 10
- 2θ = 69.88°, 1.346 Å, I = 16



No. 3
Calculated powder diffractogram
Compound: BaTlRhO6
Radiation: a wavelength of 1.5418 Å
Structure: a crystal structure in Alexandria, relaxed with PBE

Crystal structure
```
data_BaTlRhO6
_chemical_formula_sum 'Ba1 Tl1 Rh1 O6'
_symmetry_space_group_name_H-M 'P 3 1 2'
_symmetry_Int_Tables_number 149
_cell_length_a 5.6607
_cell_length_b 5.6607
_cell_length_c 5.6180
_cell_angle_alpha 90.00
_cell_angle_beta 90.00
_cell_angle_gamma 120.00
loop_
_symmetry_equiv_pos_as_xyz
'x,y,z'
'-y,x-y,z'
'-x+y,-x,z'
'-y,-x,-z'
'-x+y,y,-z'
'x,x-y,-z'
loop_
_atom_site_label
_atom_site_fract_x
_atom_site_fract_y
_atom_site_fract_z
Ba1 0.0000 0.0000 0.0000
Tl1 0.3333 0.6667 0.5000
Rh1 0.6667 0.3333 0.5000
O1 0.4014 0.0410 0.7035
```

Largest 10 diffraction maxima, low angle first, 5 to 70 degrees two-theta:
- 2θ = 15.77°, 5.618 Å, I = 21
- 2θ = 24.09°, 3.694 Å, I = 100
- 2θ = 31.61°, 2.830 Å, I = 43
- 2θ = 31.86°, 2.809 Å, I = 11
- 2θ = 35.52°, 2.528 Å, I = 13
- 2θ = 40.14°, 2.247 Å, I = 24
- 2θ = 45.49°, 1.994 Å, I = 45
- 2θ = 51.97°, 1.760 Å, I = 25
- 2θ = 52.30°, 1.749 Å, I = 11
- 2θ = 56.30°, 1.634 Å, I = 13



No. 4
Calculated powder diffractogram
Compound: Ba2Zn2RhO6
Radiation: a wavelength of 1.5418 Å
Structure: a crystal structure in Alexandria, relaxed with PBE

Crystal structure
```
data_Ba2Zn2RhO6
_chemical_formula_sum 'Ba6 Zn6 Rh3 O18'
_symmetry_space_group_name_H-M 'R -3 m'
_symmetry_Int_Tables_number 166
_symmetry_space_group_name_Hall '-R 3 2"'
_cell_length_a 5.9535
_cell_length_b 5.9535
_cell_length_c 16.4497
_cell_angle_alpha 90.00
_cell_angle_beta 90.00
_cell_angle_gamma 120.00
loop_
_atom_site_label
_atom_site_fract_x
_atom_site_fract_y
_atom_site_fract_z
Ba1 0.0000 0.0000 0.2152
Zn1 0.0000 0.0000 0.4069
Rh1 0.0000 0.0000 0.0000
O1 0.0301 0.5151 0.7470
```

Largest 10 diffraction maxima, low angle first, 5 to 70 degrees two-theta:
- 2θ = 27.75°, 3.215 Å, I = 10
- 2θ = 30.02°, 2.977 Å, I = 100
- 2θ = 32.28°, 2.773 Å, I = 79
- 2θ = 41.33°, 2.184 Å, I = 13
- 2θ = 44.66°, 2.029 Å, I = 32
- 2θ = 53.30°, 1.719 Å, I = 19
- 2θ = 54.75°, 1.677 Å, I = 39
- 2θ = 58.93°, 1.567 Å, I = 10
- 2θ = 59.33°, 1.558 Å, I = 10
- 2θ = 62.39°, 1.488 Å, I = 18



What is the formula in the third record? BaTlRhO6